Structure and theoretical powder diffraction line list of SrNd2Fe2O7 (the PBE+U geometry in Alexandria; a wavelength of 1.5418 Å).
No peak broadening, texture or thermal motion is included.

Principal peaks in the range 5° ≤ 2θ ≤ 70°, most intense first:
d [Å], Rel. int.
2.828, 100
2.770, 64
1.610, 38
1.958, 36
2.149, 26
3.847, 19
1.645, 16
1.414, 14
2.044, 12
3.405, 12
1.385, 11
1.679, 8

Cell and atoms:
a b c (Å): 10.591 10.591 10.591
angles (deg): 158.69 158.69 30.32
Fractional coordinates of all 12 atoms:
Sr  0.000  0.000  0.000
Nd  0.634  0.634  0.000
Nd  0.824  0.824  0.000
Fe  0.218  0.218  0.000
Fe  0.417  0.417  0.000
O  0.115  0.115  0.000
O  0.213  0.713  0.500
O  0.314  0.314  0.000
O  0.406  0.906  0.500
O  0.518  0.518  0.000
O  0.713  0.213  0.500
O  0.906  0.406  0.500